[1]
For LiFeP2HO7, a cell relaxed with PBE+U gives the calculated powder diffractogram in this record (copper Kα).
Kinematic intensities with the Lorentz-polarization factor, no thermal factor.

Largest 12 diffraction maxima, low angle first, 2θ from 10° to 90°:
6.544 Å, 13.53°, I 67.0; 5.343 Å, 16.59°, I 100.0; 4.758 Å, 18.65°, I 31.9; 4.597 Å, 19.31°, I 25.2; 3.159 Å, 28.25°, I 77.4; 3.126 Å, 28.55°, I 82.8; 3.103 Å, 28.77°, I 28.0; 3.055 Å, 29.24°, I 27.7; 3.000 Å, 29.78°, I 49.9; 2.939 Å, 30.41°, I 85.9; 2.860 Å, 31.27°, I 71.1; 2.447 Å, 36.73°, I 25.4

```
24
Lattice="6.4415 0.0000 0.0000 0.8925 6.5480 0.0000 2.2911 -0.2066 6.2528" Properties=species:S:1:pos:R:3 pbc="T T T"
Li 2.5762 2.4389 2.2099
Li 7.0488 3.9025 4.0429
Fe 2.5840 0.8110 4.8849
Fe 7.0411 5.5305 1.3679
P 3.6844 4.1645 4.5785
P 3.8299 5.7582 2.0221
P 5.7951 0.5832 4.2307
P 5.9407 2.1769 1.6743
H 5.1029 4.1455 6.2189
H 4.5222 2.1959 0.0339
O 3.0377 5.2665 5.4025
O 2.7291 3.0284 4.2154
O 2.6403 5.0396 1.3449
O 2.5504 0.5189 2.7092
O 4.2934 4.7278 3.2225
O 5.0062 3.6681 5.3036
O 4.5747 0.5271 5.1195
O 5.0503 5.8144 1.1333
O 4.6189 2.6733 0.9492
O 5.3316 1.6137 3.0303
O 7.0746 5.8226 3.5436
O 6.9847 1.3019 4.9079
O 6.8960 3.3131 2.0374
O 6.5874 1.0749 0.8503
```

[2]
For CaV2O4, a cell relaxed with PBE+U gives the calculated powder diffractogram in this record (copper Kα).
Kinematic intensities with the Lorentz-polarization factor, no thermal factor.

Largest 12 diffraction maxima, low angle first, 2θ from 10° to 90°:
3.153 Å, 28.30°, I 34.4; 3.124 Å, 28.57°, I 18.1; 2.694 Å, 33.26°, I 33.0; 2.686 Å, 33.35°, I 52.9; 2.674 Å, 33.51°, I 100.0; 2.660 Å, 33.69°, I 17.6; 2.225 Å, 40.55°, I 34.0; 1.709 Å, 53.63°, I 25.2; 1.578 Å, 58.50°, I 33.0; 1.575 Å, 58.61°, I 16.8; 1.571 Å, 58.78°, I 17.6; 1.562 Å, 59.15°, I 32.6

```
42
Lattice="5.4738 -3.1419 0.0000 5.4738 3.1419 0.0000 -0.1505 0.0000 15.3028" Properties=species:S:1:pos:R:3 pbc="T T T"
Ca 0.0000 0.0000 0.0000
Ca 1.7032 0.0000 12.7384
Ca 3.5576 0.0000 4.4637
Ca 3.5334 0.0000 10.1621
Ca 5.4207 0.0000 7.6582
Ca 9.1105 0.0000 2.5333
V 0.0169 0.0000 5.7363
V 4.4416 1.5712 12.7405
V 3.7090 0.0000 0.6593
V 6.3851 1.5304 2.5498
V 8.1343 1.5627 7.6432
V 7.1029 0.0000 14.5863
V 4.4416 -1.5712 12.7405
V 7.2599 0.0000 5.0323
V 7.2554 0.0000 10.8872
V 6.3851 -1.5304 2.5498
V 10.7882 0.0000 9.5292
V 8.1343 -1.5627 7.6432
O 2.7822 1.6329 11.5738
O 0.1226 0.0000 3.7921
O 4.3247 1.6484 8.7974
O 1.6662 0.0000 8.7788
O 1.8337 0.0000 1.4875
O 4.6936 1.4851 1.3965
O 3.4196 0.0000 6.6884
O 6.0849 1.5173 13.9075
O 3.6415 0.0000 13.9546
O 6.5307 1.5185 6.3170
O 5.3661 0.0000 11.5763
O 7.9101 1.3858 3.8103
O 5.6720 0.0000 3.6692
O 2.7822 -1.6329 11.5738
O 7.1813 0.0000 1.2377
O 4.3247 -1.6484 8.7974
O 4.6936 -1.4851 1.3965
O 7.3646 0.0000 8.8601
O 6.0849 -1.5173 13.9075
O 9.0219 0.0000 6.3435
O 8.9935 0.0000 13.8945
O 6.5307 -1.5185 6.3170
O 7.9101 -1.3858 3.8103
O 10.7053 0.0000 11.5347
```

[3]
For Mg6TiFeO8, a cell relaxed with PBE+U gives the calculated powder diffractogram in this record (copper Kα).
Kinematic intensities with the Lorentz-polarization factor, no thermal factor.

Largest 12 diffraction maxima, low angle first, 2θ from 10° to 90°:
4.349 Å, 20.42°, I 7.6; 4.275 Å, 20.78°, I 13.9; 3.049 Å, 29.29°, I 11.8; 3.023 Å, 29.55°, I 5.6; 2.482 Å, 36.19°, I 34.7; 2.175 Å, 41.53°, I 51.8; 2.138 Å, 42.28°, I 100.0; 1.524 Å, 60.76°, I 57.0; 1.511 Å, 61.33°, I 28.2; 1.307 Å, 72.28°, I 5.9; 1.291 Å, 73.34°, I 11.7; 1.241 Å, 76.80°, I 25.6

```
16
Lattice="4.2750 0.0000 0.0000 0.0000 4.2750 0.0000 0.0000 0.0000 8.6986" Properties=species:S:1:pos:R:3 pbc="T T T"
Mg 0.0000 0.0000 0.0000
Mg 0.0000 0.0000 4.3493
Mg 0.0000 2.1375 2.1011
Mg 0.0000 2.1375 6.5975
Mg 2.1375 0.0000 2.1011
Mg 2.1375 0.0000 6.5975
Ti 2.1375 2.1375 4.3493
Fe 2.1375 2.1375 0.0000
O 0.0000 0.0000 2.1765
O 0.0000 0.0000 6.5222
O 0.0000 2.1375 0.0000
O 0.0000 2.1375 4.3493
O 2.1375 0.0000 0.0000
O 2.1375 0.0000 4.3493
O 2.1375 2.1375 2.2979
O 2.1375 2.1375 6.4007
```

[4]
For Li9Mn2Co5O16, a cell relaxed with PBE+U gives the calculated powder diffractogram in this record (copper Kα).
Kinematic intensities with the Lorentz-polarization factor, no thermal factor.

Largest 12 diffraction maxima, low angle first, 2θ from 10° to 90°:
4.839 Å, 18.33°, I 100.0; 2.524 Å, 35.57°, I 15.1; 2.485 Å, 36.15°, I 13.1; 2.473 Å, 36.32°, I 12.5; 2.105 Å, 42.97°, I 28.6; 2.066 Å, 43.82°, I 27.1; 2.059 Å, 43.97°, I 26.1; 1.906 Å, 47.71°, I 8.7; 1.479 Å, 62.84°, I 7.5; 1.477 Å, 62.94°, I 7.4; 1.472 Å, 63.16°, I 7.6; 1.469 Å, 63.30°, I 7.3

```
32
Lattice="5.1124 0.0000 0.0000 1.6095 5.6656 0.0000 2.4866 2.2089 9.8945" Properties=species:S:1:pos:R:3 pbc="T T T"
Li 0.0000 0.0000 0.0000
Li 0.8082 2.8196 0.0321
Li 2.4726 5.3011 5.1049
Li 1.6718 2.4631 5.0838
Li 0.8565 1.2297 2.5498
Li 3.3102 6.5811 7.4597
Li 2.5260 3.7921 7.4517
Li 5.0291 4.5575 6.2339
Li 6.7457 4.0952 2.5435
Mn 3.3933 2.0346 1.3034
Mn 5.0261 6.0689 3.8008
Co 5.8001 5.7935 8.6453
Co 4.1716 4.8804 1.3101
Co 4.2278 1.6844 6.2567
Co 5.0643 3.0041 8.6161
Co 4.2321 3.2458 3.7983
O 3.4114 1.9581 8.0942
O 4.2577 4.8350 8.1754
O 1.8394 1.0897 0.6720
O 4.2385 6.3407 5.4805
O 2.6414 3.7506 0.8001
O 3.4679 5.1398 3.0663
O 3.4589 3.3971 5.5080
O 2.6919 2.1542 3.1377
O 7.3574 6.8469 9.4730
O 5.7393 5.9687 1.9044
O 4.9415 2.9967 2.0113
O 5.7589 4.3700 4.2671
O 6.6595 4.0496 9.4601
O 6.6871 5.7072 6.8962
O 5.8744 2.7408 6.9746
O 4.9922 1.3505 4.3715
```